# 1
# MgCd6Ag8
Theoretical X-ray powder pattern, Cu Kα (weighted mean of Kα1 and Kα2). Input: a structure optimized by DFT (GGA-PBE).

Structure:
abc: 7.194 7.194 7.194
angles: 67.70 67.70 67.70
Element x y z (fractional)
Mg 0.000 0.000 0.000
Cd 0.151 0.617 0.419
Cd 0.383 0.581 0.849
Cd 0.419 0.151 0.617
Cd 0.581 0.849 0.383
Cd 0.617 0.419 0.151
Cd 0.849 0.383 0.581
Ag 0.087 0.379 0.864
Ag 0.136 0.913 0.621
Ag 0.239 0.239 0.239
Ag 0.379 0.864 0.087
Ag 0.621 0.136 0.913
Ag 0.761 0.761 0.761
Ag 0.864 0.087 0.379
Ag 0.913 0.621 0.136

The 10 most intense peaks (2θ = 10–90°), most intense first:
d [Å]	two_theta	Rel. int.
2.500	35.9	100.0
2.215	40.7	53.7
2.270	39.7	34.4
2.754	32.5	23.9
2.657	33.7	17.2
1.328	71.0	14.0
2.314	38.9	13.9
1.515	61.2	13.2
1.564	59.1	11.0
1.623	56.7	10.0

---

# 2
# Mg3Cd6Ag2
Theoretical X-ray powder pattern, Cu Kα (weighted mean of Kα1 and Kα2). Input: a structure optimized by DFT (GGA-PBE).

Structure:
abc: 5.426 5.516 8.637
angles: 92.08 92.84 114.73
Element x y z (fractional)
Mg 0.000 0.000 0.000
Mg 0.294 0.301 0.685
Mg 0.706 0.699 0.315
Cd 0.169 0.592 0.147
Cd 0.252 0.748 0.496
Cd 0.403 0.843 0.845
Cd 0.597 0.157 0.155
Cd 0.748 0.252 0.504
Cd 0.831 0.408 0.853
Ag 0.193 0.196 0.345
Ag 0.807 0.804 0.655

The 10 most intense peaks (2θ = 10–90°), most intense first:
d [Å]	two_theta	Rel. int.
2.444	36.8	100.0
2.343	38.4	57.9
2.426	37.1	56.5
2.409	37.3	41.7
4.606	19.3	38.7
2.303	39.1	37.0
1.807	50.5	15.8
4.210	21.1	14.8
2.870	31.2	14.1
4.144	21.4	14.1

---

# 3
# Mg3Cd4Ag4
Theoretical X-ray powder pattern, Cu Kα (weighted mean of Kα1 and Kα2). Input: a structure optimized by DFT (GGA-PBE).

Structure:
abc: 3.039 4.649 15.674
angles: 81.49 87.60 89.84
Element x y z (fractional)
Mg 0.000 0.000 0.000
Mg 0.194 0.639 0.719
Mg 0.806 0.361 0.281
Cd 0.254 0.268 0.465
Cd 0.276 0.913 0.177
Cd 0.724 0.087 0.823
Cd 0.746 0.732 0.535
Ag 0.304 0.822 0.358
Ag 0.355 0.543 0.912
Ag 0.645 0.457 0.088
Ag 0.696 0.178 0.642

The 10 most intense peaks (2θ = 10–90°), most intense first:
d [Å]	two_theta	Rel. int.
2.409	37.3	100.0
2.449	36.7	65.2
2.325	38.7	48.0
4.239	21.0	29.1
2.440	36.8	25.9
1.358	69.2	16.6
2.239	40.3	13.8
2.489	36.1	13.7
1.754	52.2	12.6
3.004	29.7	11.4

---

# 4
# Mg7CdAg5
Theoretical X-ray powder pattern, Cu Kα (weighted mean of Kα1 and Kα2). Input: a structure optimized by DFT (GGA-PBE).

Structure:
abc: 7.431 7.431 7.431
angles: 135.68 98.28 98.08
Element x y z (fractional)
Mg 0.000 0.000 0.000
Mg 0.096 0.778 0.318
Mg 0.358 0.358 0.000
Mg 0.459 0.778 0.682
Mg 0.529 0.029 0.500
Mg 0.628 0.294 0.334
Mg 0.960 0.294 0.666
Cd 0.686 0.686 0.000
Ag 0.049 0.549 0.500
Ag 0.293 0.284 0.512
Ag 0.293 0.781 0.009
Ag 0.772 0.284 0.991
Ag 0.772 0.781 0.488

The 10 most intense peaks (2θ = 10–90°), most intense first:
d [Å]	two_theta	Rel. int.
2.175	41.5	100.0
4.868	18.2	85.5
2.432	37.0	74.9
2.428	37.0	43.8
3.440	25.9	40.4
1.720	53.3	25.1
1.350	69.7	23.1
1.403	66.7	15.4
1.466	63.4	12.1
3.079	29.0	10.4